Starting from a crystal structure in OQMD, relaxed with PBE, the powder XRD pattern of Gd3Tl5Pb2 was calculated for CuKα.

Crystal structure
Lattice parameters (Å, degrees): 4.753 24.744 4.708 90.00 90.00 90.00
Space group Cmmm (No. 65)
Inequivalent atoms, fractional coordinates:
Gd  0.000  0.000  0.000 (multiplicity 2)
Gd  0.000  0.191  0.000 (multiplicity 4)
Tl  0.000  0.293  0.500 (multiplicity 4)
Tl  0.000  0.401  0.000 (multiplicity 4)
Tl  0.000  0.500  0.500 (multiplicity 2)
Pb  0.000  0.098  0.500 (multiplicity 4)

Main lines, in order of rising 2θ (2θ from 10° to 90°):
- 32.30 deg, rel. 100.0
- 36.31 deg, rel. 17.0
- 37.85 deg, rel. 18.2
- 38.23 deg, rel. 16.4
- 53.46 deg, rel. 11.4
- 53.74 deg, rel. 11.2
- 54.89 deg, rel. 12.6
- 62.81 deg, rel. 12.7
- 64.89 deg, rel. 13.8
- 65.40 deg, rel. 13.5
- 67.61 deg, rel. 11.4
- 87.93 deg, rel. 5.4

Starting from a crystal structure in OQMD, relaxed with PBE, the powder XRD pattern of YEr2Cu4Ge4 was calculated for CuKα.

Crystal structure
Lattice parameters (Å, degrees): 4.166 6.635 13.830 90.00 90.00 90.00
Space group Immm (No. 71)
Inequivalent atoms, fractional coordinates:
Y  0.000  0.000  0.000 (multiplicity 2)
Er  0.000  0.500  0.129 (multiplicity 4)
Cu  0.000  0.309  0.330 (multiplicity 8)
Ge  0.000  0.000  0.217 (multiplicity 4)
Ge  0.000  0.192  0.500 (multiplicity 4)

Main lines, in order of rising 2θ (2θ from 10° to 90°):
- 14.81 deg, rel. 11.6
- 35.18 deg, rel. 100.0
- 36.38 deg, rel. 85.1
- 39.08 deg, rel. 20.6
- 39.86 deg, rel. 20.3
- 43.44 deg, rel. 33.9
- 45.49 deg, rel. 24.1
- 48.06 deg, rel. 15.1
- 57.06 deg, rel. 11.1
- 64.70 deg, rel. 21.5
- 75.09 deg, rel. 10.6
- 80.96 deg, rel. 12.9

Starting from a crystal structure in OQMD, relaxed with PBE, the powder XRD pattern of PrBBr6 was calculated for CuKα.

Crystal structure
Lattice parameters (Å, degrees): 7.4970 7.4970 7.7187 90.00 90.00 120.00
Space group P-6 (No. 174)
Inequivalent atoms, fractional coordinates:
Pr  0.0000  0.0000  0.0000 (multiplicity 1)
B  0.6667  0.3333  0.5000 (multiplicity 1)
Br  0.0016  0.6389  0.0000 (multiplicity 3)
Br  0.4127  0.0773  0.5000 (multiplicity 3)

Main lines, in order of rising 2θ (2θ from 10° to 90°):
- 13.64 deg, rel. 16.6
- 17.85 deg, rel. 54.4
- 23.05 deg, rel. 64.5
- 26.43 deg, rel. 100.0
- 27.48 deg, rel. 17.8
- 36.16 deg, rel. 17.2
- 36.62 deg, rel. 15.2
- 38.49 deg, rel. 26.0
- 41.74 deg, rel. 20.9
- 42.62 deg, rel. 26.9
- 43.71 deg, rel. 18.5
- 48.21 deg, rel. 27.3

Starting from a crystal structure in OQMD, relaxed with PBE, the powder XRD pattern of Li2Nb2Ga2IrPt was calculated for CuKα.

Crystal structure
Lattice parameters (Å, degrees): 4.378 4.378 6.187 90.00 90.00 90.00
Space group P-4m2 (No. 115)
Inequivalent atoms, fractional coordinates:
Li  0.000  0.000  0.000 (multiplicity 1)
Li  0.500  0.500  0.500 (multiplicity 1)
Nb  0.000  0.500  0.245 (multiplicity 2)
Ga  0.000  0.500  0.751 (multiplicity 2)
Ir  0.500  0.500  0.000 (multiplicity 1)
Pt  0.000  0.000  0.500 (multiplicity 1)

Main lines, in order of rising 2θ (2θ from 10° to 90°):
- 24.91 deg, rel. 65.3
- 28.85 deg, rel. 0.6
- 41.25 deg, rel. 100.0
- 48.79 deg, rel. 32.7
- 59.76 deg, rel. 16.7
- 65.76 deg, rel. 13.5
- 75.19 deg, rel. 33.6
- 80.65 deg, rel. 10.3
- 89.58 deg, rel. 11.1

Starting from a crystal structure in OQMD, relaxed with PBE, the powder XRD pattern of TlAu15 was calculated for CuKα.

Crystal structure
Lattice parameters (Å, degrees): 5.029 35.307 5.025 90.00 109.05 90.00
Space group P2/c (No. 13)
Inequivalent atoms, fractional coordinates:
Tl  0.000  0.164  0.250 (multiplicity 2)
Au  0.000  0.223  0.750 (multiplicity 2)
Au  0.000  0.266  0.250 (multiplicity 2)
Au  0.000  0.309  0.750 (multiplicity 2)
Au  0.000  0.352  0.250 (multiplicity 2)
Au  0.000  0.394  0.750 (multiplicity 2)
Au  0.000  0.437  0.250 (multiplicity 2)
Au  0.000  0.479  0.750 (multiplicity 2)
Au  0.500  0.185  0.750 (multiplicity 2)
Au  0.500  0.223  0.250 (multiplicity 2)
Au  0.500  0.267  0.750 (multiplicity 2)
Au  0.500  0.309  0.250 (multiplicity 2)
Au  0.500  0.351  0.750 (multiplicity 2)
Au  0.500  0.394  0.250 (multiplicity 2)
Au  0.500  0.436  0.750 (multiplicity 2)
Au  0.500  0.479  0.250 (multiplicity 2)

Main lines, in order of rising 2θ (2θ from 10° to 90°):
- 35.54 deg, rel. 62.5
- 37.65 deg, rel. 100.0
- 37.86 deg, rel. 61.8
- 37.91 deg, rel. 99.1
- 41.84 deg, rel. 40.2
- 43.69 deg, rel. 66.2
- 44.27 deg, rel. 52.2
- 62.53 deg, rel. 25.2
- 63.94 deg, rel. 43.3
- 76.10 deg, rel. 19.5
- 76.52 deg, rel. 26.4
- 77.18 deg, rel. 18.6

Starting from a crystal structure in OQMD, relaxed with PBE, the powder XRD pattern of Zr4Cu3 was calculated for CuKα.

Crystal structure
Lattice parameters (Å, degrees): 8.2163 8.2163 4.4366 90.00 90.00 120.00
Space group P6_3/m (No. 176)
Inequivalent atoms, fractional coordinates:
Zr  0.0002  0.2451  0.2500 (multiplicity 6)
Zr  0.3333  0.6667  0.7500 (multiplicity 2)
Cu  0.0589  0.6023  0.2500 (multiplicity 6)

Main lines, in order of rising 2θ (2θ from 10° to 90°):
- 29.64 deg, rel. 5.6
- 32.25 deg, rel. 7.9
- 33.31 deg, rel. 24.9
- 37.93 deg, rel. 8.3
- 39.17 deg, rel. 100.0
- 40.67 deg, rel. 24.4
- 50.62 deg, rel. 5.1
- 53.55 deg, rel. 12.3
- 59.54 deg, rel. 9.6
- 60.43 deg, rel. 5.6
- 73.01 deg, rel. 14.6
- 74.61 deg, rel. 9.5

Starting from a crystal structure in OQMD, relaxed with PBE, the powder XRD pattern of TmLuFe2Si2 was calculated for CuKα.

Crystal structure
Lattice parameters (Å, degrees): 4.011 4.011 6.303 90.00 90.00 90.00
Space group P4mm (No. 99)
Inequivalent atoms, fractional coordinates:
Tm  0.000  0.000  0.000 (multiplicity 1)
Lu  0.500  0.500  0.369 (multiplicity 1)
Fe  0.000  0.500  0.681 (multiplicity 2)
Si  0.000  0.000  0.495 (multiplicity 1)
Si  0.500  0.500  0.869 (multiplicity 1)

Main lines, in order of rising 2θ (2θ from 10° to 90°):
- 26.33 deg, rel. 100.0
- 31.54 deg, rel. 37.2
- 34.68 deg, rel. 40.1
- 36.25 deg, rel. 55.3
- 42.89 deg, rel. 62.2
- 45.21 deg, rel. 46.6
- 53.08 deg, rel. 30.5
- 59.27 deg, rel. 26.6
- 63.42 deg, rel. 20.4
- 64.20 deg, rel. 18.1
- 81.26 deg, rel. 20.5
- 81.85 deg, rel. 18.3

Starting from a crystal structure in OQMD, relaxed with PBE, the powder XRD pattern of Ho2TlFeCu was calculated for CuKα.

Crystal structure
Lattice parameters (Å, degrees): 3.696 4.001 14.269 90.00 90.00 90.00
Space group Amm2 (No. 38)
Inequivalent atoms, fractional coordinates:
Ho  0.000  0.000  0.000 (multiplicity 2)
Ho  0.000  0.000  0.275 (multiplicity 2)
Tl  0.500  0.000  0.642 (multiplicity 2)
Fe  0.500  0.000  0.842 (multiplicity 2)
Cu  0.500  0.000  0.438 (multiplicity 2)

Main lines, in order of rising 2θ (2θ from 10° to 90°):
- 29.17 deg, rel. 50.3
- 33.60 deg, rel. 100.0
- 34.96 deg, rel. 68.6
- 37.83 deg, rel. 12.8
- 38.76 deg, rel. 34.2
- 45.33 deg, rel. 23.8
- 49.31 deg, rel. 18.0
- 56.45 deg, rel. 19.2
- 58.32 deg, rel. 15.1
- 58.49 deg, rel. 31.3
- 64.42 deg, rel. 15.1
- 69.20 deg, rel. 12.9

Starting from a crystal structure in OQMD, relaxed with PBE, the powder XRD pattern of TmCdH2Cl2O2 was calculated for CuKα.

Crystal structure
Lattice parameters (Å, degrees): 3.8501 3.8501 10.4229 90.00 90.00 120.00
Space group P3m1 (No. 156)
Inequivalent atoms, fractional coordinates:
Tm  0.0000  0.0000  0.0000 (multiplicity 1)
Cd  0.3333  0.6667  0.4845 (multiplicity 1)
H  0.6667  0.3333  0.1413 (multiplicity 1)
H  0.6667  0.3333  0.6429 (multiplicity 1)
Cl  0.0000  0.0000  0.2452 (multiplicity 1)
Cl  0.3333  0.6667  0.8395 (multiplicity 1)
O  0.6667  0.3333  0.0458 (multiplicity 1)
O  0.6667  0.3333  0.5486 (multiplicity 1)

Main lines, in order of rising 2θ (2θ from 10° to 90°):
- 17.01 deg, rel. 65.1
- 26.74 deg, rel. 21.8
- 28.10 deg, rel. 100.0
- 31.86 deg, rel. 17.0
- 34.42 deg, rel. 15.5
- 37.38 deg, rel. 62.8
- 44.11 deg, rel. 15.7
- 47.22 deg, rel. 31.2
- 50.54 deg, rel. 23.5
- 51.72 deg, rel. 19.4
- 55.85 deg, rel. 14.5
- 59.72 deg, rel. 18.3

Starting from a crystal structure in OQMD, relaxed with PBE, the powder XRD pattern of SiPd2Au was calculated for CuKα.

Crystal structure
Lattice parameters (Å, degrees): 6.253 6.253 6.253 90.00 90.00 90.00
Space group F-43m (No. 216)
Inequivalent atoms, fractional coordinates:
Si  0.000  0.000  0.000 (multiplicity 4)
Pd  0.000  0.000  0.500 (multiplicity 4)
Pd  0.250  0.250  0.750 (multiplicity 4)
Au  0.250  0.250  0.250 (multiplicity 4)

Main lines, in order of rising 2θ (2θ from 10° to 90°):
- 24.66 deg, rel. 17.7
- 28.55 deg, rel. 18.7
- 40.81 deg, rel. 100.0
- 48.27 deg, rel. 9.3
- 50.56 deg, rel. 5.4
- 59.09 deg, rel. 16.7
- 65.01 deg, rel. 3.9
- 66.92 deg, rel. 7.1
- 74.31 deg, rel. 34.1
- 79.67 deg, rel. 3.0
- 88.43 deg, rel. 11.3

- Which formula does entry 4 have?
  Li2Nb2Ga2IrPt

Repeat the fourth record exactly.
Starting from a crystal structure in OQMD, relaxed with PBE, the powder XRD pattern of Li2Nb2Ga2IrPt was calculated for CuKα.

Crystal structure
Lattice parameters (Å, degrees): 4.378 4.378 6.187 90.00 90.00 90.00
Space group P-4m2 (No. 115)
Inequivalent atoms, fractional coordinates:
Li  0.000  0.000  0.000 (multiplicity 1)
Li  0.500  0.500  0.500 (multiplicity 1)
Nb  0.000  0.500  0.245 (multiplicity 2)
Ga  0.000  0.500  0.751 (multiplicity 2)
Ir  0.500  0.500  0.000 (multiplicity 1)
Pt  0.000  0.000  0.500 (multiplicity 1)

Main lines, in order of rising 2θ (2θ from 10° to 90°):
- 24.91 deg, rel. 65.3
- 28.85 deg, rel. 0.6
- 41.25 deg, rel. 100.0
- 48.79 deg, rel. 32.7
- 59.76 deg, rel. 16.7
- 65.76 deg, rel. 13.5
- 75.19 deg, rel. 33.6
- 80.65 deg, rel. 10.3
- 89.58 deg, rel. 11.1